(1)
Calculated XRD peak list
Compound: SrMg6SnO8
Radiation: copper Kα
Structure: a structure optimized by DFT (PBE)

Main lines, in order of rising 2θ (10° ≤ 2θ ≤ 90°):
- (0 0 2), 2θ = 19.6°, d = 4.538 Å, rel. 319
- (1 1 0), 2θ = 27.3°, d = 3.271 Å, rel. 262
- (1 1 1), 2θ = 29.0°, d = 3.077 Å, rel. 471
- (0 0 3), 2θ = 29.5°, d = 3.025 Å, rel. 238
- (1 1 2), 2θ = 33.8°, d = 2.654 Å, rel. 636
- (2 0 0), 2θ = 38.9°, d = 2.313 Å, rel. 1000
- (0 0 4), 2θ = 39.7°, d = 2.269 Å, rel. 415
- (2 0 3), 2θ = 49.6°, d = 1.837 Å, rel. 218
- (2 2 0), 2θ = 56.2°, d = 1.636 Å, rel. 312
- (2 0 4), 2θ = 56.8°, d = 1.620 Å, rel. 533
- (3 1 2), 2θ = 67.2°, d = 1.392 Å, rel. 222
- (2 2 4), 2θ = 71.0°, d = 1.327 Å, rel. 259

Structural model:
```
data_SrMg6SnO8
_cell_length_a 4.6261
_cell_length_b 4.6261
_cell_length_c 9.0757
_cell_angle_alpha 90.00
_cell_angle_beta 90.00
_cell_angle_gamma 90.00
_space_group_name_H-M_alt 'P 4/m m m'
_space_group_IT_number 123
_space_group_name_Hall '-P 4 2'
loop_
_atom_site_label
_atom_site_fract_x
_atom_site_fract_y
_atom_site_fract_z
_atom_site_occupancy
Sr1 0.0000 0.0000 0.0000 1
Mg1 0.0000 0.0000 0.5000 1
Mg2 0.0000 0.5000 0.2734 1
Mg3 0.5000 0.5000 0.5000 1
Sn1 0.5000 0.5000 0.0000 1
O1 0.0000 0.0000 0.2752 1
O2 0.0000 0.5000 0.0000 1
O3 0.0000 0.5000 0.5000 1
O4 0.5000 0.5000 0.2767 1
```


(2)
Calculated XRD peak list
Compound: Mg2TaSnO6
Radiation: copper Kα
Structure: a structure optimized by DFT (PBE)

Main lines, in order of rising 2θ (10° ≤ 2θ ≤ 90°):
- (1 0 -1), 2θ = 22.5°, d = 3.953 Å, rel. 524
- (0 2 0), 2θ = 22.7°, d = 3.911 Å, rel. 539
- (1 0 1), 2θ = 23.3°, d = 3.818 Å, rel. 502
- (1 2 -1), 2θ = 32.2°, d = 2.780 Å, rel. 703
- (0 0 2), 2θ = 32.3°, d = 2.768 Å, rel. 365
- (1 2 1), 2θ = 32.8°, d = 2.730 Å, rel. 1000
- (0 2 2), 2θ = 39.9°, d = 2.259 Å, rel. 188
- (2 2 0), 2θ = 40.3°, d = 2.236 Å, rel. 203
- (0 4 0), 2θ = 46.4°, d = 1.956 Å, rel. 172
- (1 0 -3), 2θ = 51.8°, d = 1.765 Å, rel. 197
- (0 4 2), 2θ = 57.7°, d = 1.597 Å, rel. 174
- (3 2 -1), 2θ = 57.9°, d = 1.593 Å, rel. 205

Structural model:
```
data_Mg2TaSnO6
_cell_length_a 5.4531
_cell_length_b 7.8225
_cell_length_c 5.5393
_cell_angle_alpha 90.00
_cell_angle_beta 91.99
_cell_angle_gamma 90.00
_space_group_name_H-M_alt 'P 1 21/m 1'
_space_group_IT_number 11
loop_
_space_group_symop_operation_xyz
'x,y,z'
'-x,-y,-z'
'-x,y+1/2,-z'
'x,-y+1/2,z'
loop_
_atom_site_label
_atom_site_fract_x
_atom_site_fract_y
_atom_site_fract_z
_atom_site_occupancy
Mg1 0.0082 0.2500 0.0396 1
Mg2 0.4883 0.2500 0.5372 1
Ta1 0.5000 0.0000 0.0000 1
Sn1 0.0000 0.0000 0.5000 1
O1 0.1274 0.2500 0.4056 1
O2 0.1900 0.5712 0.1514 1
O3 0.3588 0.5693 0.6819 1
O4 0.3674 0.2500 0.9194 1
```